No. 1
Starting from the GGA-PBE geometry in the Materials Project, the XRD peak list of Na2Cu2TeO6 was simulated for Cu Kα, 1.54184 Å.
Lines closer than 0.1° are merged.

Peak list (8 most intense, 2θ = 10–90°, low angle first)
| 2theta | I (rel.) |
| --- | --- |
| 16.2 | 100.0 |
| 19.5 | 16.7 |
| 30.6 | 18.1 |
| 32.7 | 16.1 |
| 35.0 | 17.7 |
| 35.6 | 21.5 |
| 35.8 | 33.5 |
| 41.9 | 43.5 |

Atomic structure:
```
Na2Cu2TeO6
1.0
2.9316 -4.3818 0.0000
2.9316 4.3818 0.0000
-2.5459 0.0000 5.4787
Na Cu Te O
2 2 1 6
Direct
0.1843 0.8157 0.0000
0.8157 0.1843 0.0000
0.3349 0.6651 0.5000
0.6651 0.3349 0.5000
0.0000 0.0000 0.5000
0.0247 0.3530 0.7163
0.2432 0.2432 0.3406
0.3530 0.0247 0.7163
0.6470 0.9753 0.2837
0.7568 0.7568 0.6594
0.9753 0.6470 0.2837
```

---

No. 2
Starting from the GGA-PBE geometry in the Materials Project, the XRD peak list of Na2Cu4S3 was simulated for Cu Kα, 1.54184 Å.
Lines closer than 0.1° are merged.

Peak list (8 most intense, 2θ = 10–90°, low angle first)
| 2theta | I (rel.) |
| --- | --- |
| 11.6 | 100.0 |
| 36.4 | 13.3 |
| 37.7 | 25.2 |
| 42.8 | 11.5 |
| 42.9 | 12.3 |
| 46.3 | 15.8 |
| 46.5 | 12.4 |
| 47.6 | 18.1 |

Atomic structure:
```
Na2Cu4S3
1.0
8.0264 -1.9105 0.0000
8.0264 1.9105 0.0000
-3.1888 0.0000 9.7672
Na Cu S
4 8 6
Direct
0.1681 0.1681 0.3417
0.3127 0.3127 0.1569
0.6873 0.6873 0.8431
0.8319 0.8319 0.6583
0.0876 0.0876 0.5879
0.0909 0.0909 0.0078
0.4744 0.4744 0.8667
0.4831 0.4831 0.6174
0.5169 0.5169 0.3826
0.5256 0.5256 0.1333
0.9091 0.9091 0.9922
0.9124 0.9124 0.4121
0.0280 0.0280 0.7718
0.3352 0.3352 0.8861
0.3499 0.3499 0.4542
0.6501 0.6501 0.5458
0.6648 0.6648 0.1139
0.9720 0.9720 0.2282
```

---

No. 3
Starting from the GGA-PBE geometry in the Materials Project, the XRD peak list of NaCu5S3 was simulated for Cu Kα, 1.54184 Å.
Lines closer than 0.1° are merged.

Peak list (8 most intense, 2θ = 10–90°, low angle first)
| 2theta | I (rel.) |
| --- | --- |
| 14.3 | 85.5 |
| 19.2 | 61.8 |
| 28.1 | 41.5 |
| 31.6 | 87.6 |
| 41.4 | 76.8 |
| 45.9 | 41.9 |
| 46.7 | 100.0 |
| 51.4 | 74.0 |

Atomic structure:
```
NaCu5S3
1.0
7.1465 0.0000 0.0000
-3.5732 6.1890 0.0000
0.0000 0.0000 6.9836
Na Cu S
2 10 6
Direct
0.0000 0.0000 0.2500
0.0000 0.0000 0.7500
0.2153 0.4306 0.2500
0.2153 0.7847 0.2500
0.3333 0.6667 0.5517
0.3333 0.6667 0.9483
0.4306 0.2153 0.7500
0.5694 0.7847 0.2500
0.6667 0.3333 0.0517
0.6667 0.3333 0.4483
0.7847 0.2153 0.7500
0.7847 0.5694 0.7500
0.0000 0.3436 0.5000
0.0000 0.6564 0.0000
0.3436 0.0000 0.5000
0.3436 0.3436 0.0000
0.6564 0.0000 0.0000
0.6564 0.6564 0.5000
```